This entry pairs a crystal structure of Pm3Ga6Ir5 with its computed powder diffractogram. Radiation: Cu Kα, 1.54184 Å. Structure: a PBE-relaxed structure.

Principal peaks in the range 10 to 90 degrees two-theta, sorted by position:
two_theta	I/Imax
28.16	20.1
29.66	20.2
33.77	18.8
35.31	100.0
42.32	19.9
42.53	34.5
44.29	14.9
45.58	21.6

Structure:
Lattice parameters (Å, degrees): 4.251 12.808 9.491 90.00 90.00 90.00
Space group Pmmn (No. 59, origin choice 2)
Symmetry-distinct sites (fractional):
Pm (0.250, 0.054, 0.248)
Pm (0.250, 0.750, 0.243)
Ga (0.250, 0.069, 0.907)
Ga (0.250, 0.250, 0.072)
Ga (0.250, 0.250, 0.457)
Ga (0.250, 0.597, 0.522)
Ir (0.250, 0.094, 0.629)
Ir (0.250, 0.637, 0.964)
Ir (0.250, 0.750, 0.709)